This entry pairs a crystal structure of ErInAu with its simulated powder XRD pattern. Radiation: Cu Kα X-rays. Structure: DFT lattice parameters and positions (PBE).

Principal peaks in the range 5 to 70 degrees two-theta, sorted by position:
h k l, 2θ/deg, I/Imax
1 1 0, 23.1, 15
1 1 1, 32.2, 82
2 0 1, 35.0, 100
2 1 0, 35.6, 32
3 0 0, 40.6, 51
2 1 1, 42.3, 39
0 0 2, 45.2, 26
2 1 2, 58.8, 15
3 0 2, 62.3, 29
3 2 1, 65.2, 35

Structure:
Cell: 7.7027 7.7027 4.0143 Å, 90.00 90.00 120.00°
Space group P-62m (No. 189)
One atom of each set of equivalent atoms:
Er: 0.0000 0.5944 0.0000
In: 0.0000 0.2604 0.5000
Au: 0.0000 0.0000 0.0000
Au: 0.3333 0.6667 0.5000